(1)
Theoretical PXRD pattern of CsInHgS3 for Cu Kα X-rays, from DFT lattice parameters and positions (PBE).
Peak positions follow from Bragg's law for the DFT cell and can differ from measured ones.

Crystal structure
Unit cell a=11.6553 b=11.6525 c=22.4322 alpha=90.00 beta=97.46 gamma=90.00
Space group C2/c (No. 15)
Asymmetric unit:
Cs  0.0817  0.1877  0.0772 x8
Cs  0.1681  0.4370  0.4229 x8
In  0.0323  0.1877  0.8780 x8
In  0.2183  0.4373  0.6228 x8
Hg  0.0000  0.0596  0.2500 x4
Hg  0.0000  0.4355  0.7500 x4
Hg  0.2473  0.1871  0.7500 x8
S  0.0770  0.3125  0.5565 x8
S  0.1024  0.4323  0.1797 x8
S  0.1124  0.0571  0.6785 x8
S  0.1374  0.1926  0.3200 x8
S  0.1483  0.3182  0.8212 x8
S  0.1738  0.0626  0.9435 x8

Peak list (10 most intense, 2θ from 15° to 90°, low angle first)
2θ = 22.40°, intensity 50.0, hkl 2 2 1; 2θ = 23.80°, intensity 36.1, hkl 2 2 2; 2θ = 24.01°, intensity 23.7, hkl 0 0 6; 2θ = 28.20°, intensity 100.0, hkl 2 2 -5; 2θ = 33.03°, intensity 32.3, hkl 4 0 2; 2θ = 42.08°, intensity 29.7, hkl 4 0 6; 2θ = 43.95°, intensity 32.4, hkl 4 4 -1; 2θ = 48.29°, intensity 40.2, hkl 0 4 9; 2θ = 53.04°, intensity 33.0, hkl 2 6 4; 2θ = 83.97°, intensity 20.3, hkl 8 4 -11

=====

(2)
Theoretical PXRD pattern of CsHgSbSe3 for Cu Kα X-rays, from DFT lattice parameters and positions (PBE).
Peak positions follow from Bragg's law for the DFT cell and can differ from measured ones.

Crystal structure
Unit cell a=4.3551 b=16.2161 c=11.5642 alpha=90.00 beta=90.00 gamma=90.00
Space group Cmc2_1 (No. 36)
Asymmetric unit:
Cs  0.0000  0.2441  0.0000 x4
Hg  0.0000  0.0493  0.4907 x4
Sb  0.0000  0.4913  0.7372 x4
Se  0.0000  0.1130  0.7027 x4
Se  0.0000  0.1249  0.2897 x4
Se  0.0000  0.4408  0.5169 x4

Peak list (10 most intense, 2θ from 15° to 90°, low angle first)
2θ = 26.23°, intensity 23.5, hkl 1 3 0; 2θ = 27.41°, intensity 100.0, hkl 1 3 1; 2θ = 30.56°, intensity 36.3, hkl 1 3 2; 2θ = 30.93°, intensity 40.2, hkl 0 0 4; 2θ = 35.25°, intensity 22.3, hkl 1 3 3; 2θ = 37.93°, intensity 20.5, hkl 1 5 2; 2θ = 41.47°, intensity 24.8, hkl 2 0 0; 2θ = 47.58°, intensity 39.6, hkl 1 3 5; 2θ = 50.52°, intensity 20.5, hkl 1 7 3; 2θ = 52.62°, intensity 18.4, hkl 2 0 4

=====

(3)
Theoretical PXRD pattern of Cs2Hg3Se4 for Cu Kα X-rays, from DFT lattice parameters and positions (PBE).
Peak positions follow from Bragg's law for the DFT cell and can differ from measured ones.

Crystal structure
Unit cell a=6.6929 b=12.4238 c=15.1224 alpha=90.00 beta=90.00 gamma=90.00
Space group Ibam (No. 72)
Asymmetric unit:
Cs  0.2324  0.1198  0.0000 x8
Hg  0.0000  0.1666  0.2500 x8
Hg  0.0000  0.5000  0.2500 x4
Se  0.2194  0.3671  0.1422 x16

Peak list (10 most intense, 2θ from 15° to 90°, low angle first)
2θ = 23.53°, intensity 35.9, hkl 0 0 4; 2θ = 25.29°, intensity 60.7, hkl 1 3 0; 2θ = 26.38°, intensity 100.0, hkl 1 2 3; 2θ = 27.95°, intensity 96.9, hkl 1 3 2; 2θ = 29.18°, intensity 82.6, hkl 2 0 2; 2θ = 34.82°, intensity 73.7, hkl 1 3 4; 2θ = 35.84°, intensity 29.5, hkl 2 0 4; 2θ = 44.19°, intensity 32.7, hkl 1 3 6; 2θ = 45.03°, intensity 43.4, hkl 2 0 6; 2θ = 47.85°, intensity 34.3, hkl 3 3 2

=====

(4)
Theoretical PXRD pattern of Cs2UHg2Se5 for Cu Kα X-rays, from DFT lattice parameters and positions (PBE).
Peak positions follow from Bragg's law for the DFT cell and can differ from measured ones.

Crystal structure
Unit cell a=10.4506 b=4.3768 c=16.9205 alpha=90.00 beta=114.57 gamma=90.00
Space group P2/c (No. 13)
Asymmetric unit:
Cs  0.2306  0.1865  0.4458 x4
U  0.5000  0.2946  0.2500 x2
Hg  0.1701  0.1274  0.7028 x4
Se  0.0000  0.4200  0.7500 x2
Se  0.2179  0.3192  0.1177 x4
Se  0.4462  0.2044  0.8434 x4

Peak list (10 most intense, 2θ from 15° to 90°, low angle first)
2θ = 21.00°, intensity 38.1, hkl 1 0 -4; 2θ = 24.07°, intensity 35.2, hkl 1 1 1; 2θ = 25.83°, intensity 88.2, hkl 2 0 2; 2θ = 26.81°, intensity 28.7, hkl 0 1 3; 2θ = 28.16°, intensity 51.7, hkl 3 0 0; 2θ = 28.27°, intensity 100.0, hkl 2 1 -3; 2θ = 30.78°, intensity 52.6, hkl 2 1 -4; 2θ = 35.64°, intensity 35.3, hkl 2 0 4; 2θ = 40.05°, intensity 31.1, hkl 1 1 5; 2θ = 48.30°, intensity 37.9, hkl 5 1 -3

=====

(5)
Theoretical PXRD pattern of Cs2HgTe for Cu Kα X-rays, from DFT lattice parameters and positions (PBE).
Peak positions follow from Bragg's law for the DFT cell and can differ from measured ones.

Crystal structure
Unit cell a=9.1022 b=9.1022 c=9.1022 alpha=90.00 beta=90.00 gamma=90.00
Space group Fm-3m (No. 225)
Asymmetric unit:
Cs  0.2500  0.2500  0.2500 x8
Hg  0.0000  0.0000  0.0000 x4
Te  0.0000  0.0000  0.5000 x4

Peak list (10 most intense, 2θ from 15° to 90°, low angle first)
2θ = 16.87°, intensity 3.2, hkl 1 1 1; 2θ = 27.72°, intensity 100.0, hkl 2 2 0; 2θ = 32.63°, intensity 2.2, hkl 3 1 1; 2θ = 39.61°, intensity 19.2, hkl 4 0 0; 2θ = 49.03°, intensity 41.6, hkl 4 2 2; 2θ = 57.26°, intensity 13.1, hkl 4 4 0; 2θ = 64.78°, intensity 18.1, hkl 6 2 0; 2θ = 71.86°, intensity 4.5, hkl 4 4 4; 2θ = 78.66°, intensity 21.1, hkl 6 4 2; 2θ = 85.31°, intensity 2.2, hkl 8 0 0

=====

(6)
Theoretical PXRD pattern of CsHoO2 for Cu Kα X-rays, from DFT lattice parameters and positions (PBE).
Peak positions follow from Bragg's law for the DFT cell and can differ from measured ones.

Crystal structure
Unit cell a=3.5442 b=3.5442 c=13.7534 alpha=90.00 beta=90.00 gamma=120.00
Space group P6_3/mmc (No. 194)
Asymmetric unit:
Cs  0.3333  0.6667  0.2500 x2
Ho  0.0000  0.0000  0.0000 x2
O  0.3333  0.6667  0.5818 x4

Peak list (10 most intense, 2θ from 15° to 90°, low angle first)
2θ = 25.91°, intensity 45.5, hkl 0 0 4; 2θ = 29.83°, intensity 23.9, hkl 1 0 1; 2θ = 31.93°, intensity 100.0, hkl 1 0 2; 2θ = 35.19°, intensity 32.1, hkl 1 0 3; 2θ = 39.35°, intensity 13.3, hkl 1 0 4; 2θ = 49.64°, intensity 35.6, hkl 1 0 6; 2θ = 51.58°, intensity 27.9, hkl 1 1 0; 2θ = 58.60°, intensity 28.9, hkl 1 1 4; 2θ = 61.94°, intensity 18.9, hkl 2 0 2; 2θ = 84.73°, intensity 14.6, hkl 2 1 2

=====

(7)
Theoretical PXRD pattern of CsHoS2 for Cu Kα X-rays, from DFT lattice parameters and positions (PBE).
Peak positions follow from Bragg's law for the DFT cell and can differ from measured ones.

Crystal structure
Unit cell a=4.0829 b=4.0829 c=24.1523 alpha=90.00 beta=90.00 gamma=120.00
Space group R-3m (No. 166, hexagonal axes)
Asymmetric unit:
Cs  0.0000  0.0000  0.0000 x3
Ho  0.0000  0.0000  0.5000 x3
S  0.0000  0.0000  0.2273 x6

Peak list (10 most intense, 2θ from 15° to 90°, low angle first)
2θ = 22.08°, intensity 33.2, hkl 0 0 6; 2θ = 26.26°, intensity 54.9, hkl 0 1 2; 2θ = 29.27°, intensity 100.0, hkl 1 0 4; 2θ = 39.24°, intensity 37.7, hkl 0 1 8; 2θ = 44.37°, intensity 33.0, hkl 1 1 0; 2θ = 45.48°, intensity 19.5, hkl 1 0 10; 2θ = 50.10°, intensity 23.2, hkl 1 1 6; 2θ = 54.05°, intensity 17.3, hkl 0 2 4; 2θ = 65.08°, intensity 13.5, hkl 1 1 12; 2θ = 72.43°, intensity 14.5, hkl 2 1 4

=====

(8)
Theoretical PXRD pattern of CsHoS2 for Cu Kα X-rays, from DFT lattice parameters and positions (PBE).
Peak positions follow from Bragg's law for the DFT cell and can differ from measured ones.

Crystal structure
Unit cell a=4.0905 b=4.0905 c=16.0767 alpha=90.00 beta=90.00 gamma=120.00
Space group P6_3/mmc (No. 194)
Asymmetric unit:
Cs  0.3333  0.6667  0.2500 x2
Ho  0.0000  0.0000  0.0000 x2
S  0.3333  0.6667  0.5903 x4

Peak list (10 most intense, 2θ from 15° to 90°, low angle first)
2θ = 22.12°, intensity 38.4, hkl 0 0 4; 2θ = 25.75°, intensity 16.9, hkl 1 0 1; 2θ = 27.52°, intensity 100.0, hkl 1 0 2; 2θ = 30.24°, intensity 50.5, hkl 1 0 3; 2θ = 33.73°, intensity 18.4, hkl 1 0 4; 2θ = 42.29°, intensity 46.2, hkl 1 0 6; 2θ = 44.29°, intensity 38.2, hkl 1 1 0; 2θ = 50.04°, intensity 27.0, hkl 1 1 4; 2θ = 52.93°, intensity 16.6, hkl 2 0 2; 2θ = 65.07°, intensity 15.4, hkl 1 1 8

=====

Q: What is the formula in the third record?
A: Cs2Hg3Se4